# 1
Calculated powder X-ray diffraction pattern of SmDyGa2I2 for CuKα, from a DFT-relaxed cell (GGA-PBE, OQMD).
Neutral-atom scattering factors, no anomalous dispersion.

Main lines, low angle first (10° ≤ 2θ ≤ 90°):
Position (°2θ), intensity, index
25.3, 38, 1 0 1
28.3, 43, 1 0 2
32.8, 100, 1 0 3
42.6, 47, 1 1 0
44.4, 17, 0 1 5
54.8, 23, 0 2 3
63.1, 29, 1 1 6
71.8, 20, 2 1 3

Crystal structure
```
data_SmDyGa2I2
_space_group_name_H-M_alt 'P 3 m 1'
_space_group_IT_number 156
_space_group_name_Hall 'P 3 -2"'
_cell_length_a 4.2400
_cell_length_b 4.2400
_cell_length_c 12.2861
_cell_angle_alpha 90.00
_cell_angle_beta 90.00
_cell_angle_gamma 120.00
loop_
_atom_site_label
_atom_site_fract_x
_atom_site_fract_y
_atom_site_fract_z
_atom_site_occupancy
Sm1 0.0000 0.0000 0.0000 1
Dy1 0.0000 0.0000 0.3309 1
Ga1 0.3333 0.6667 0.1937 1
Ga2 0.6667 0.3333 0.1381 1
I1 0.3333 0.6667 0.8350 1
I2 0.6667 0.3333 0.4946 1
```

---

# 2
Calculated powder X-ray diffraction pattern of Dy2InGa5 for CuKα, from a DFT-relaxed cell (GGA-PBE, OQMD).
Neutral-atom scattering factors, no anomalous dispersion.

Main lines, low angle first (10° ≤ 2θ ≤ 90°):
Position (°2θ), intensity, index
25.1, 28, 1 0 2
32.5, 21, 0 2 2
38.0, 100, 1 2 2
38.3, 42, 1 0 4
38.8, 31, 2 0 0
58.4, 16, 0 2 6
69.7, 16, 3 2 2
72.3, 16, 2 2 6

Crystal structure
```
data_Dy2InGa5
_space_group_name_H-M_alt 'A m m 2'
_space_group_IT_number 38
_space_group_name_Hall 'A 2 -2'
_cell_length_a 4.646
_cell_length_b 6.371
_cell_length_c 10.915
_cell_angle_alpha 90.00
_cell_angle_beta 90.00
_cell_angle_gamma 90.00
loop_
_atom_site_label
_atom_site_fract_x
_atom_site_fract_y
_atom_site_fract_z
_atom_site_occupancy
Dy1 0.000 0.000 0.000 1
Dy2 0.500 0.000 0.324 1
In1 0.000 0.000 0.513 1
Ga1 0.000 0.225 0.745 1
Ga2 0.500 0.000 0.812 1
Ga3 0.500 0.229 0.592 1
```